(1)
CsZn2In: theoretical powder X-ray diffraction pattern (copper Kα), based on DFT lattice parameters and positions (GGA-PBE).
No peak broadening, texture or thermal motion is included.

The 6 most intense peaks (2θ = 10–80°), by angle:
- 2θ 23.06, rel. 100, (1 1 2)
- 2θ 29.23, rel. 28, (2 0 0)
- 2θ 36.13, rel. 31, (2 0 4)
- 2θ 37.80, rel. 27, (1 1 6)
- 2θ 47.13, rel. 36, (2 2 4)
- 2θ 48.29, rel. 27, (3 1 2)

Structural model:
a b c (Å): 6.110 6.110 17.111
angles (deg): 90.00 90.00 90.00
Space group I4_1/amd (No. 141, origin choice 2)
Symmetry-distinct sites (fractional):
Cs1 0.000 0.250 0.375 x4
Zn1 0.000 0.000 0.000 x8
In1 0.000 0.250 0.875 x4


(2)
Cs4ZnIn4: theoretical powder X-ray diffraction pattern (copper Kα), based on DFT lattice parameters and positions (GGA-PBE).
No peak broadening, texture or thermal motion is included.

The 6 most intense peaks (2θ = 10–80°), by angle:
- 2θ 15.76, rel. 29, (1 1 0)
- 2θ 22.11, rel. 55, (0 0 4)
- 2θ 25.65, rel. 100, (2 1 1)
- 2θ 30.15, rel. 54, (2 1 3)
- 2θ 31.64, rel. 35, (2 0 4)
- 2θ 37.70, rel. 39, (2 1 5)

Structural model:
a b c (Å): 7.954 7.954 16.084
angles (deg): 90.00 90.00 90.00
Space group I-42m (No. 121)
Symmetry-distinct sites (fractional):
Cs1 0.185 0.185 0.132 x8
Zn1 0.000 0.000 0.500 x2
In1 0.150 0.150 0.375 x8


(3)
Cs3ZnIn4: theoretical powder X-ray diffraction pattern (copper Kα), based on DFT lattice parameters and positions (GGA-PBE).
No peak broadening, texture or thermal motion is included.

The 6 most intense peaks (2θ = 10–80°), by angle:
- 2θ 11.40, rel. 55, (0 2 0)
- 2θ 21.76, rel. 54, (1 2 1)
- 2θ 27.82, rel. 58, (0 2 2)
- 2θ 29.34, rel. 46, (1 1 2)
- 2θ 29.59, rel. 100, (1 4 1)
- 2θ 32.20, rel. 72, (2 2 1)

Structural model:
a b c (Å): 6.572 15.520 7.043
angles (deg): 90.00 90.00 90.00
Space group Pmmn (No. 59, origin choice 2)
Symmetry-distinct sites (fractional):
Cs1 0.250 0.011 0.213 x4
Cs2 0.250 0.750 0.496 x2
Zn1 0.250 0.250 0.343 x2
In1 0.010 0.750 0.992 x4
In2 0.250 0.150 0.700 x4


(4)
CsK2IrO4: theoretical powder X-ray diffraction pattern (copper Kα), based on DFT lattice parameters and positions (GGA-PBE).
No peak broadening, texture or thermal motion is included.

The 6 most intense peaks (2θ = 10–80°), by angle:
- 2θ 18.67, rel. 58, (1 1 0)
- 2θ 24.09, rel. 26, (0 0 2)
- 2θ 26.53, rel. 52, (2 0 0)
- 2θ 30.66, rel. 100, (1 1 2)
- 2θ 37.86, rel. 33, (2 2 0)
- 2θ 49.48, rel. 45, (3 1 2)

Structural model:
a b c (Å): 6.721 6.721 7.387
angles (deg): 90.00 90.00 90.00
Space group I4/mmm (No. 139)
Symmetry-distinct sites (fractional):
Cs1 0.000 0.000 0.000 x2
K1 0.000 0.500 0.250 x4
Ir1 0.000 0.000 0.500 x2
O1 0.197 0.197 0.500 x8


(5)
Cs2LaIr3O12: theoretical powder X-ray diffraction pattern (copper Kα), based on DFT lattice parameters and positions (GGA-PBE).
No peak broadening, texture or thermal motion is included.

The 6 most intense peaks (2θ = 10–80°), by angle:
- 2θ 13.46, rel. 56, (0 0 3)
- 2θ 26.56, rel. 71, (0 1 5)
- 2θ 27.77, rel. 87, (1 1 3)
- 2θ 28.36, rel. 85, (0 2 1)
- 2θ 29.44, rel. 100, (2 0 2)
- 2θ 49.52, rel. 49, (2 2 0)

Structural model:
a b c (Å): 7.3625 7.3625 19.7342
angles (deg): 90.00 90.00 120.00
Space group R-3m (No. 166, hexagonal axes)
Symmetry-distinct sites (fractional):
Cs1 0.0000 0.0000 0.1093 x6
La1 0.0000 0.0000 0.5000 x3
Ir1 0.0000 0.5000 0.0000 x9
O1 0.0334 0.5167 0.0951 x18
O2 0.0701 0.5351 0.3420 x18


(6)
Cs2NaIrO4: theoretical powder X-ray diffraction pattern (copper Kα), based on DFT lattice parameters and positions (GGA-PBE).
No peak broadening, texture or thermal motion is included.

The 6 most intense peaks (2θ = 10–80°), by angle:
- 2θ 20.26, rel. 100, (1 1 3)
- 2θ 24.99, rel. 29, (0 4 0)
- 2θ 26.97, rel. 47, (1 3 3)
- 2θ 28.90, rel. 54, (0 2 6)
- 2θ 31.40, rel. 36, (2 2 0)
- 2θ 46.99, rel. 30, (2 4 6)

Structural model:
a b c (Å): 6.217 14.250 20.568
angles (deg): 90.00 90.00 90.00
Space group Fddd (No. 70, origin choice 2)
Symmetry-distinct sites (fractional):
Cs1 0.125 0.125 0.297 x16
Na1 0.125 0.125 0.125 x8
Ir1 0.125 0.125 0.625 x8
O1 0.088 0.282 0.872 x32